Entry 1:
Theoretical powder XRD pattern
Compound: Ca8MgN4
Radiation: Cu Kα (λ = 1.5418 Å)
Structure: a DFT-relaxed cell (GGA-PBE, Alexandria)
Peak positions follow from Bragg's law for the DFT cell and can differ from measured ones.

Peak list (8 most intense, 10° ≤ 2θ ≤ 90°, by intensity)
- 2θ 32.54, d 2.752, I = 100, (3 1 -3)
- 2θ 29.76, d 3.002, I = 31, (6 0 -3)
- 2θ 52.51, d 1.743, I = 29, (1 1 4)
- 2θ 13.91, d 6.369, I = 20, (2 0 -2)
- 2θ 31.40, d 2.849, I = 17, (2 0 -4)
- 2θ 50.51, d 1.807, I = 12, (0 2 0)
- 2θ 35.88, d 2.503, I = 11, (4 0 1)
- 2θ 36.02, d 2.493, I = 11, (6 0 -5)

Crystal structure
```
data_Ca8MgN4
_chemical_formula_sum 'Ca16 Mg2 N8'
_space_group_name_H-M_alt 'C 1 m 1'
_space_group_IT_number 8
_cell_length_a 18.001
_cell_length_b 3.613
_cell_length_c 12.711
_cell_angle_alpha 90.00
_cell_angle_beta 134.84
_cell_angle_gamma 90.00
loop_
_space_group_symop_operation_xyz
'x,y,z'
'x,-y,z'
'x+1/2,y+1/2,z'
'x+1/2,-y+1/2,z'
loop_
_atom_site_label
_atom_site_type_symbol
_atom_site_fract_x
_atom_site_fract_y
_atom_site_fract_z
Ca1 Ca 0.000 0.000 0.000
Ca2 Ca 0.008 0.000 0.267
Ca3 Ca 0.045 0.000 0.691
Ca4 Ca 0.144 0.500 0.599
Ca5 Ca 0.180 0.500 0.023
Ca6 Ca 0.189 0.500 0.290
Ca7 Ca 0.302 0.000 0.936
Ca8 Ca 0.386 0.000 0.354
Mg1 Mg 0.344 0.000 0.646
N1 N 0.012 0.000 0.467
N2 N 0.177 0.500 0.823
N3 N 0.190 0.000 0.159
N4 N 0.498 0.000 0.131
```


Entry 2:
Theoretical powder XRD pattern
Compound: TbPmAsS
Radiation: Cu Kα (λ = 1.5418 Å)
Structure: a DFT-relaxed cell (GGA-PBE, Alexandria)
Peak positions follow from Bragg's law for the DFT cell and can differ from measured ones.

Peak list (8 most intense, 10° ≤ 2θ ≤ 90°, by intensity)
- 2θ 30.81, d 2.902, I = 100, (1 1 0)
- 2θ 44.29, d 2.045, I = 73, (1 1 2)
- 2θ 26.66, d 3.343, I = 62, (1 0 1)
- 2θ 31.03, d 2.882, I = 49, (0 0 2)
- 2θ 54.93, d 1.672, I = 38, (2 0 2)
- 2θ 44.14, d 2.052, I = 37, (2 0 0)
- 2θ 81.31, d 1.183, I = 25, (3 1 2)
- 2θ 52.31, d 1.749, I = 20, (2 1 1)

Crystal structure
```
data_TbPmAsS
_chemical_formula_sum 'Tb1 Pm1 As1 S1'
_space_group_name_H-M_alt 'P 4/m m m'
_space_group_IT_number 123
_space_group_name_Hall '-P 4 2'
_cell_length_a 4.104
_cell_length_b 4.104
_cell_length_c 5.765
_cell_angle_alpha 90.00
_cell_angle_beta 90.00
_cell_angle_gamma 90.00
loop_
_atom_site_label
_atom_site_type_symbol
_atom_site_fract_x
_atom_site_fract_y
_atom_site_fract_z
Tb1 Tb 0.000 0.000 0.000
Pm1 Pm 0.500 0.500 0.500
As1 As 0.000 0.000 0.500
S1 S 0.500 0.500 0.000
```


Entry 3:
Theoretical powder XRD pattern
Compound: LiFe2H8
Radiation: Cu Kα (λ = 1.5418 Å)
Structure: a DFT-relaxed cell (GGA-PBE, Alexandria)
Peak positions follow from Bragg's law for the DFT cell and can differ from measured ones.

Peak list (8 most intense, 10° ≤ 2θ ≤ 90°, by intensity)
- 2θ 20.28, d 4.380, I = 100, (0 0 1)
- 2θ 31.47, d 2.843, I = 26, (0 2 1)
- 2θ 42.49, d 2.127, I = 25, (1 3 0)
- 2θ 23.81, d 3.737, I = 24, (0 2 0)
- 2θ 43.34, d 2.088, I = 23, (1 3 -1)
- 2θ 24.82, d 3.587, I = 21, (1 1 0)
- 2θ 26.16, d 3.406, I = 18, (1 1 -1)
- 2θ 40.76, d 2.213, I = 16, (2 0 -1)

Crystal structure
```
data_LiFe2H8
_chemical_formula_sum 'Li2 Fe4 H16'
_space_group_name_H-M_alt 'C 1 m 1'
_space_group_IT_number 8
_cell_length_a 4.442
_cell_length_b 7.474
_cell_length_c 4.759
_cell_angle_alpha 90.00
_cell_angle_beta 113.02
_cell_angle_gamma 90.00
loop_
_space_group_symop_operation_xyz
'x,y,z'
'x,-y,z'
'x+1/2,y+1/2,z'
'x+1/2,-y+1/2,z'
loop_
_atom_site_label
_atom_site_type_symbol
_atom_site_fract_x
_atom_site_fract_y
_atom_site_fract_z
Li1 Li 0.000 0.000 0.000
Fe1 Fe 0.341 0.178 0.657
H1 H 0.039 0.306 0.422
H2 H 0.219 0.277 0.913
H3 H 0.303 0.000 0.434
H4 H 0.441 0.000 0.891
H5 H 0.453 0.375 0.591
```


Entry 4:
Theoretical powder XRD pattern
Compound: Ca2DyEr
Radiation: Cu Kα (λ = 1.5418 Å)
Structure: a DFT-relaxed cell (GGA-PBE, Alexandria)
Peak positions follow from Bragg's law for the DFT cell and can differ from measured ones.

Peak list (8 most intense, 10° ≤ 2θ ≤ 90°, by intensity)
- 2θ 30.70, d 2.913, I = 100, (1 1 0)
- 2θ 21.57, d 4.119, I = 40, (1 0 0)
- 2θ 54.57, d 1.682, I = 39, (2 1 2)
- 2θ 49.48, d 1.842, I = 19, (2 1 0)
- 2θ 43.96, d 2.060, I = 18, (2 0 0)
- 2θ 37.83, d 2.378, I = 13, (1 1 2)
- 2θ 88.87, d 1.101, I = 13, (3 1 4)
- 2θ 63.92, d 1.456, I = 12, (2 2 0)

Crystal structure
```
data_Ca2DyEr
_chemical_formula_sum 'Ca2 Dy1 Er1'
_space_group_name_H-M_alt 'P 4/m m m'
_space_group_IT_number 123
_space_group_name_Hall '-P 4 2'
_cell_length_a 4.117
_cell_length_b 4.117
_cell_length_c 8.247
_cell_angle_alpha 90.00
_cell_angle_beta 90.00
_cell_angle_gamma 90.00
loop_
_atom_site_label
_atom_site_type_symbol
_atom_site_fract_x
_atom_site_fract_y
_atom_site_fract_z
Ca1 Ca 0.000 0.000 0.248
Dy1 Dy 0.500 0.500 0.500
Er1 Er 0.500 0.500 0.000
```